(1)
This entry pairs a crystal structure of Li6AgP2 with its simulated X-ray diffraction stick pattern. Radiation: Cu Kα (weighted mean of Kα1 and Kα2). Structure: a GGA-PBE-relaxed structure.
Neutral-atom scattering factors, no anomalous dispersion.

Peak list (6 most intense, 10° ≤ 2θ ≤ 90°, sorted by position)
Position (°2θ), I/Imax
14.04, 82
24.44, 100
35.46, 20
40.99, 68
43.02, 34
60.93, 20

Structural model:
a = 7.283 Å, b = 7.283 Å, c = 2.764 Å
α = 90.00°, β = 90.00°, γ = 120.00°
Atoms (fractional coordinates):
Li: 0.000 0.345 0.000
Li: 0.000 0.655 0.000
Li: 0.345 0.000 0.000
Li: 0.345 0.345 0.000
Li: 0.655 0.000 0.000
Li: 0.655 0.655 0.000
Ag: 0.000 0.000 0.500
P: 0.333 0.667 0.500
P: 0.667 0.333 0.500

=====

(2)
This entry pairs a crystal structure of MgCrSnCl6 with its simulated X-ray diffraction stick pattern. Radiation: Cu Kα (weighted mean of Kα1 and Kα2). Structure: a GGA-PBE-relaxed structure.
Neutral-atom scattering factors, no anomalous dispersion.

Peak list (6 most intense, 10° ≤ 2θ ≤ 90°, sorted by position)
Position (°2θ), I/Imax
21.30, 100
31.10, 52
35.07, 25
40.13, 65
45.15, 29
48.67, 30

Structural model:
a = 6.480 Å, b = 6.480 Å, c = 12.475 Å
α = 90.00°, β = 90.00°, γ = 120.00°
Atoms (fractional coordinates):
Mg: 0.333 0.667 0.250
Mg: 0.667 0.333 0.750
Cr: 0.333 0.667 0.750
Cr: 0.667 0.333 0.250
Sn: 0.000 0.000 0.000
Sn: 0.000 0.000 0.500
Cl: 0.004 0.362 0.637
Cl: 0.004 0.642 0.863
Cl: 0.358 0.362 0.863
Cl: 0.358 0.996 0.637
Cl: 0.362 0.004 0.137
Cl: 0.362 0.358 0.363
Cl: 0.638 0.642 0.637
Cl: 0.638 0.996 0.863
Cl: 0.642 0.004 0.363
Cl: 0.642 0.638 0.137
Cl: 0.996 0.358 0.137
Cl: 0.996 0.638 0.363

=====

(3)
This entry pairs a crystal structure of Cs3TmNp2O9 with its simulated X-ray diffraction stick pattern. Radiation: Cu Kα (weighted mean of Kα1 and Kα2). Structure: a GGA-PBE-relaxed structure.
Neutral-atom scattering factors, no anomalous dispersion.

Peak list (6 most intense, 10° ≤ 2θ ≤ 90°, sorted by position)
Position (°2θ), I/Imax
28.83, 100
41.23, 27
51.09, 42
59.72, 18
67.65, 19
82.40, 22

Structural model:
a = 6.193 Å, b = 6.193 Å, c = 7.586 Å
α = 90.00°, β = 90.00°, γ = 120.00°
Atoms (fractional coordinates):
Cs: 0.000 0.000 0.000
Cs: 0.333 0.667 0.664
Cs: 0.667 0.333 0.336
Tm: 0.000 0.000 0.500
Np: 0.333 0.667 0.168
Np: 0.667 0.333 0.832
O: 0.000 0.500 0.000
O: 0.176 0.352 0.322
O: 0.176 0.824 0.322
O: 0.352 0.176 0.678
O: 0.500 0.000 0.000
O: 0.500 0.500 0.000
O: 0.648 0.824 0.322
O: 0.824 0.176 0.678
O: 0.824 0.648 0.678

=====

(4)
This entry pairs a crystal structure of PuAl2Zn6 with its simulated X-ray diffraction stick pattern. Radiation: Cu Kα (weighted mean of Kα1 and Kα2). Structure: a GGA-PBE-relaxed structure.
Neutral-atom scattering factors, no anomalous dispersion.

Peak list (6 most intense, 10° ≤ 2θ ≤ 90°, sorted by position)
Position (°2θ), I/Imax
15.15, 48
29.57, 100
35.39, 95
39.63, 40
46.60, 43
51.97, 41

Structural model:
a = 7.158 Å, b = 7.158 Å, c = 7.158 Å
α = 146.69°, β = 124.19°, γ = 66.57°
Atoms (fractional coordinates):
Pu: 0.000 0.000 0.000
Al: 0.383 0.883 0.500
Al: 0.617 0.117 0.500
Zn: 0.003 0.308 0.695
Zn: 0.319 0.500 0.819
Zn: 0.386 0.692 0.695
Zn: 0.614 0.308 0.305
Zn: 0.681 0.500 0.181
Zn: 0.997 0.692 0.305

=====

(5)
This entry pairs a crystal structure of HoSCl with its simulated X-ray diffraction stick pattern. Radiation: Cu Kα (weighted mean of Kα1 and Kα2). Structure: a GGA-PBE-relaxed structure.
Neutral-atom scattering factors, no anomalous dispersion.

Peak list (6 most intense, 10° ≤ 2θ ≤ 90°, sorted by position)
Position (°2θ), I/Imax
19.26, 100
25.74, 29
26.18, 32
27.52, 41
32.52, 37
33.51, 37

Structural model:
a = 3.976 Å, b = 5.348 Å, c = 9.202 Å
α = 90.00°, β = 99.41°, γ = 90.00°
Atoms (fractional coordinates):
Ho: 0.201 0.250 0.372
Ho: 0.799 0.750 0.628
S: 0.220 0.750 0.420
S: 0.780 0.250 0.580
Cl: 0.372 0.750 0.823
Cl: 0.628 0.250 0.177

=====

(6)
This entry pairs a crystal structure of HoPuMgHg with its simulated X-ray diffraction stick pattern. Radiation: Cu Kα (weighted mean of Kα1 and Kα2). Structure: a GGA-PBE-relaxed structure.
Neutral-atom scattering factors, no anomalous dispersion.

Peak list (6 most intense, 10° ≤ 2θ ≤ 90°, sorted by position)
Position (°2θ), I/Imax
20.51, 20
33.80, 100
48.55, 18
60.47, 38
71.10, 12
81.09, 17

Structural model:
a = 5.304 Å, b = 5.304 Å, c = 5.304 Å
α = 60.00°, β = 60.00°, γ = 60.00°
Atoms (fractional coordinates):
Ho: 0.000 0.000 0.000
Pu: 0.500 0.500 0.500
Mg: 0.250 0.250 0.250
Hg: 0.750 0.750 0.750